Structure and theoretical X-ray powder pattern of SmHf2ReC4 (a structure optimized by DFT (GGA-PBE); Cu Kα X-rays).
Peak positions follow from Bragg's law for the DFT cell and can differ from measured ones.

Most intense lines, 2θ from 5° to 70°, low angle first:
30.56°, I 48, hkl 0 4 0
30.94°, I 46, hkl 0 0 4
31.87°, I 100, hkl 1 1 2
36.41°, I 20, hkl 1 1 3
38.76°, I 80, hkl 1 3 2
44.04°, I 22, hkl 0 4 4
53.39°, I 20, hkl 1 5 3
64.41°, I 20, hkl 2 0 4

Structural model:
Lattice parameters (Å, degrees): 3.3406 11.6998 11.5624 90.00 90.00 90.00
Space group Cmcm (No. 63)
Symmetry-distinct sites (fractional):
Sm  0.0000  0.0986  0.2500 [4 per cell]
Hf  0.0000  0.3708  0.0387 [8 per cell]
Re  0.0000  0.1645  0.7500 [4 per cell]
C  0.0000  0.0000  0.0000 [4 per cell]
C  0.0000  0.2616  0.6156 [8 per cell]
C  0.0000  0.4326  0.2500 [4 per cell]

Structure and theoretical X-ray powder pattern of Cr9In7S24 (a structure optimized by DFT (GGA-PBE); Cu Kα X-rays).
Peak positions follow from Bragg's law for the DFT cell and can differ from measured ones.

Most intense lines, 2θ from 5° to 70°, low angle first:
24.33°, I 44, hkl 2 0 -2
28.40°, I 100, hkl 2 0 1
28.50°, I 64, hkl 1 3 -2
28.65°, I 47, hkl 4 0 -1
34.58°, I 46, hkl 2 6 -2
45.32°, I 36, hkl 1 9 -2
49.43°, I 73, hkl 2 6 2
49.80°, I 50, hkl 6 6 -2

Structural model:
Lattice parameters (Å, degrees): 12.6575 22.1277 7.2995 90.00 124.66 90.00
Space group Cm (No. 8)
Symmetry-distinct sites (fractional):
Cr  0.0000  0.0000  0.0000 [2 per cell]
Cr  0.0020  0.3345  0.5122 [4 per cell]
Cr  0.0017  0.3355  0.9988 [4 per cell]
Cr  0.2409  0.4140  0.9878 [4 per cell]
Cr  0.2451  0.0821  0.0073 [4 per cell]
In  0.1195  0.1669  0.3755 [4 per cell]
In  0.1206  0.5000  0.3783 [2 per cell]
In  0.2352  0.2576  0.9880 [4 per cell]
In  0.3743  0.0000  0.6329 [2 per cell]
In  0.4857  0.5000  0.5196 [2 per cell]
S  0.0114  0.4077  0.7624 [4 per cell]
S  0.0170  0.0797  0.7997 [4 per cell]
S  0.2280  0.3434  0.2186 [4 per cell]
S  0.2287  0.3418  0.7384 [4 per cell]
S  0.2323  0.0000  0.2150 [2 per cell]
S  0.2406  0.5000  0.2027 [2 per cell]
S  0.2431  0.0000  0.7864 [2 per cell]
S  0.2630  0.1601  0.7933 [4 per cell]
S  0.2641  0.5000  0.7941 [2 per cell]
S  0.2657  0.1620  0.2488 [4 per cell]
S  0.4752  0.4239  0.2225 [4 per cell]
S  0.4795  0.0920  0.2368 [4 per cell]
S  0.4886  0.2362  0.7443 [4 per cell]
S  0.4931  0.2368  0.2466 [4 per cell]

Structure and theoretical X-ray powder pattern of Pm6YAl (a structure optimized by DFT (GGA-PBE); Cu Kα X-rays).
Peak positions follow from Bragg's law for the DFT cell and can differ from measured ones.

Most intense lines, 2θ from 5° to 70°, low angle first:
30.95°, I 100, hkl 1 1 2
35.18°, I 17, hkl 0 0 4
36.24°, I 33, hkl 2 0 0
51.40°, I 23, hkl 2 0 4
52.18°, I 12, hkl 2 2 0
60.51°, I 13, hkl 1 1 6
61.91°, I 27, hkl 3 1 2
64.50°, I 12, hkl 2 2 4

Structural model:
Lattice parameters (Å, degrees): 4.9581 4.9581 10.2032 90.00 90.00 90.00
Space group P4/mmm (No. 123)
Symmetry-distinct sites (fractional):
Pm  0.0000  0.0000  0.0000 [1 per cell]
Pm  0.0000  0.0000  0.5000 [1 per cell]
Pm  0.0000  0.5000  0.2376 [4 per cell]
Y  0.5000  0.5000  0.5000 [1 per cell]
Al  0.5000  0.5000  0.0000 [1 per cell]

Structure and theoretical X-ray powder pattern of Tb4PdRh2 (a structure optimized by DFT (GGA-PBE); Cu Kα X-rays).
Peak positions follow from Bragg's law for the DFT cell and can differ from measured ones.

Most intense lines, 2θ from 5° to 70°, low angle first:
29.13°, I 17, hkl 2 0 2
32.56°, I 100, hkl 1 3 0
32.75°, I 49, hkl 3 0 1
38.78°, I 56, hkl 1 3 2
38.91°, I 21, hkl 3 2 1
49.25°, I 16, hkl 3 2 3
53.75°, I 17, hkl 1 3 4
66.26°, I 15, hkl 1 6 1

Structural model:
Lattice parameters (Å, degrees): 8.6403 8.6986 8.6986 90.00 90.00 90.00
Space group I2_12_12_1 (No. 24)
Symmetry-distinct sites (fractional):
Tb  0.0562  0.0621  0.0634 [8 per cell]
Tb  0.1940  0.3134  0.6885 [8 per cell]
Pd  0.1254  0.0000  0.7500 [4 per cell]
Rh  0.0000  0.2500  0.3781 [4 per cell]
Rh  0.2500  0.3709  0.0000 [4 per cell]

Structure and theoretical X-ray powder pattern of Mg2Ag14Te9 (a structure optimized by DFT (GGA-PBE); Cu Kα X-rays).
Peak positions follow from Bragg's law for the DFT cell and can differ from measured ones.

Most intense lines, 2θ from 5° to 70°, low angle first:
22.94°, I 21, hkl -1 1 1
23.09°, I 28, hkl 1 2 -1
23.22°, I 44, hkl 2 1 1
23.43°, I 40, hkl 0 0 3
37.62°, I 55, hkl 0 3 0
38.11°, I 26, hkl 3 0 0
38.44°, I 71, hkl 3 3 0
38.55°, I 100, hkl 1 2 -4

Structural model:
Lattice parameters (Å, degrees): 8.1022 8.2033 11.3903 89.75 89.30 60.97
Space group P-1 (No. 2)
Symmetry-distinct sites (fractional):
Mg  0.2149  0.1471  0.2602 [2 per cell]
Ag  0.1033  0.8307  0.5706 [2 per cell]
Ag  0.1459  0.8320  0.0549 [2 per cell]
Ag  0.1561  0.5089  0.9179 [2 per cell]
Ag  0.2518  0.4783  0.4231 [2 per cell]
Ag  0.4320  0.5448  0.7424 [2 per cell]
Ag  0.4574  0.8335  0.8914 [2 per cell]
Ag  0.4815  0.2114  0.6119 [2 per cell]
Te  0.1069  0.5074  0.6677 [2 per cell]
Te  0.1744  0.8242  0.3122 [2 per cell]
Te  0.1967  0.1636  0.0122 [2 per cell]
Te  0.4455  0.8722  0.6456 [2 per cell]
Te  0.5000  0.5000  0.0000 [1 per cell]

Structure and theoretical X-ray powder pattern of YMg3O4 (a structure optimized by DFT (GGA-PBE); Cu Kα X-rays).
Peak positions follow from Bragg's law for the DFT cell and can differ from measured ones.

Most intense lines, 2θ from 5° to 70°, low angle first:
19.47°, I 49, hkl 1 0 0
27.68°, I 41, hkl 1 1 0
34.07°, I 38, hkl 1 1 1
39.54°, I 100, hkl 2 0 0
44.44°, I 22, hkl 2 1 0
48.95°, I 17, hkl 2 1 1
57.15°, I 61, hkl 2 2 0
68.24°, I 19, hkl 3 1 1

Structural model:
Lattice parameters (Å, degrees): 4.5584 4.5584 4.5584 90.00 90.00 90.00
Space group Pm-3m (No. 221)
Symmetry-distinct sites (fractional):
Y  0.0000  0.0000  0.0000 [1 per cell]
Mg  0.0000  0.5000  0.5000 [3 per cell]
O  0.0000  0.0000  0.5000 [3 per cell]
O  0.5000  0.5000  0.5000 [1 per cell]

Structure and theoretical X-ray powder pattern of Li3In5 (a structure optimized by DFT (GGA-PBE); Cu Kα X-rays).
Peak positions follow from Bragg's law for the DFT cell and can differ from measured ones.

Most intense lines, 2θ from 5° to 70°, low angle first:
18.33°, I 14, hkl 0 0 3
26.39°, I 60, hkl 1 0 1
30.79°, I 19, hkl 0 0 5
35.78°, I 100, hkl 1 0 4
36.59°, I 51, hkl 1 1 0
48.55°, I 21, hkl 1 1 5
52.72°, I 18, hkl 2 0 0
65.35°, I 33, hkl 2 1 4

Structural model:
Lattice parameters (Å, degrees): 3.4728 3.4728 14.5206 90.00 90.00 90.00
Space group P4/mmm (No. 123)
Symmetry-distinct sites (fractional):
Li  0.0000  0.0000  0.0000 [1 per cell]
Li  0.5000  0.5000  0.3845 [2 per cell]
In  0.0000  0.0000  0.2691 [2 per cell]
In  0.0000  0.0000  0.5000 [1 per cell]
In  0.5000  0.5000  0.1239 [2 per cell]

Structure and theoretical X-ray powder pattern of Ac7AgPb2N2 (a structure optimized by DFT (GGA-PBE); Cu Kα X-rays).
Peak positions follow from Bragg's law for the DFT cell and can differ from measured ones.

Most intense lines, 2θ from 5° to 70°, low angle first:
24.54°, I 21, hkl 2 0 -2
26.98°, I 39, hkl 2 0 -3
30.65°, I 100, hkl 2 0 2
32.24°, I 21, hkl 0 0 5
33.73°, I 58, hkl 2 2 -1
47.35°, I 29, hkl 2 2 -6
48.44°, I 21, hkl 0 4 0
58.42°, I 34, hkl 4 2 1

Structural model:
Lattice parameters (Å, degrees): 7.5173 7.5152 14.3773 90.00 105.08 90.00
Space group C2/m (No. 12)
Symmetry-distinct sites (fractional):
Ac  0.0000  0.0000  0.0000 [2 per cell]
Ac  0.1568  0.2502  0.8133 [8 per cell]
Ac  0.1938  0.0000  0.3902 [4 per cell]
Ag  0.0000  0.5000  0.0000 [2 per cell]
Pb  0.1772  0.5000  0.3565 [4 per cell]
N  0.1007  0.0000  0.2017 [4 per cell]

Structure and theoretical X-ray powder pattern of Ag5HgAu2 (a structure optimized by DFT (GGA-PBE); Cu Kα X-rays).
Peak positions follow from Bragg's law for the DFT cell and can differ from measured ones.

Most intense lines, 2θ from 5° to 70°, low angle first:
20.83°, I 9, hkl 1 2 0
37.08°, I 100, hkl 0 4 1
37.18°, I 99, hkl 2 0 1
42.39°, I 68, hkl 2 4 0
44.61°, I 30, hkl 0 0 2
61.36°, I 11, hkl 0 8 0
61.64°, I 11, hkl 4 0 0
63.22°, I 41, hkl 2 4 2

Structural model:
Lattice parameters (Å, degrees): 6.0189 12.0878 4.0627 90.00 90.00 90.00
Space group Pbam (No. 55)
Symmetry-distinct sites (fractional):
Ag  0.0000  0.0000  0.0000 [2 per cell]
Ag  0.9997  0.2493  0.0000 [4 per cell]
Ag  0.2456  0.1275  0.5000 [4 per cell]
Hg  0.0000  0.5000  0.0000 [2 per cell]
Au  0.2453  0.8730  0.5000 [4 per cell]

Structure and theoretical X-ray powder pattern of Pb2I2O (a structure optimized by DFT (GGA-PBE); Cu Kα X-rays).
Peak positions follow from Bragg's law for the DFT cell and can differ from measured ones.

Most intense lines, 2θ from 5° to 70°, low angle first:
16.09°, I 31, hkl 1 1 -1
24.00°, I 69, hkl 2 0 1
25.69°, I 42, hkl 4 0 -2
26.93°, I 100, hkl 0 2 0
36.35°, I 49, hkl 2 2 1
37.53°, I 32, hkl 4 2 -2
38.49°, I 46, hkl 2 2 -3
53.13°, I 17, hkl 0 2 4

Structural model:
Lattice parameters (Å, degrees): 13.9918 6.6307 10.0102 90.00 126.24 90.00
Space group C2/m (No. 12)
Symmetry-distinct sites (fractional):
Pb  0.0579  0.0000  0.3830 [4 per cell]
Pb  0.2029  0.5000  0.1243 [4 per cell]
I  0.0957  0.5000  0.3427 [4 per cell]
I  0.1798  0.0000  0.0798 [4 per cell]
O  0.1157  0.0000  0.6471 [4 per cell]

Structure and theoretical X-ray powder pattern of GdErAl6 (a structure optimized by DFT (GGA-PBE); Cu Kα X-rays).
Peak positions follow from Bragg's law for the DFT cell and can differ from measured ones.

Most intense lines, 2θ from 5° to 70°, low angle first:
19.15°, I 57, hkl 1 0 1
25.14°, I 100, hkl 1 0 2
29.16°, I 58, hkl 1 1 0
35.12°, I 44, hkl 2 0 1
37.81°, I 32, hkl 0 0 4
38.87°, I 97, hkl 2 0 2
48.44°, I 29, hkl 1 1 4
60.45°, I 25, hkl 2 2 0

Structural model:
Lattice parameters (Å, degrees): 6.1253 6.1253 9.5187 90.00 90.00 120.00
Space group P6_3/mmc (No. 194)
Symmetry-distinct sites (fractional):
Gd  0.0000  0.0000  0.0000 [2 per cell]
Er  0.3333  0.6667  0.2500 [2 per cell]
Al  0.0000  0.5000  0.0000 [6 per cell]
Al  0.1830  0.3659  0.7500 [6 per cell]